Diffraction record for Cr3B7O13F. The X-ray diffraction stick pattern is calculated, not measured: it uses DFT lattice parameters and positions (PBE+U) and Cu Kα.
Kinematic intensities with the Lorentz-polarization factor, no thermal factor.

Top 10 peaks for 2θ = 10–80°, by angle:
| 2theta | I/Imax |
| --- | --- |
| 20.54 | 29 |
| 25.22 | 55 |
| 29.21 | 100 |
| 32.74 | 45 |
| 41.78 | 55 |
| 43.79 | 44 |
| 49.43 | 58 |
| 51.78 | 31 |
| 68.63 | 27 |
| 76.28 | 28 |

Atomic structure:
Cell lengths 8.649, 8.649, 8.649 Å; angles 60.00, 60.00, 60.00 degrees
Sites, in units of the cell vectors:
1 Cr 0.250 0.250 0.750
2 Cr 0.250 0.750 0.250
3 Cr 0.250 0.750 0.750
4 Cr 0.750 0.250 0.250
5 Cr 0.750 0.250 0.750
6 Cr 0.750 0.750 0.250
7 B 0.000 0.000 0.500
8 B 0.000 0.500 0.000
9 B 0.000 0.500 0.500
10 B 0.170 0.170 0.170
11 B 0.170 0.170 0.490
12 B 0.170 0.490 0.170
13 B 0.490 0.170 0.170
14 B 0.500 0.000 0.000
15 B 0.500 0.000 0.500
16 B 0.500 0.500 0.000
17 B 0.670 0.670 0.670
18 B 0.670 0.670 0.990
19 B 0.670 0.990 0.670
20 B 0.990 0.670 0.670
21 O 0.046 0.494 0.814
22 O 0.046 0.646 0.494
23 O 0.046 0.814 0.646
24 O 0.146 0.314 0.546
25 O 0.146 0.546 0.994
26 O 0.146 0.994 0.314
27 O 0.250 0.250 0.250
28 O 0.314 0.146 0.994
29 O 0.314 0.546 0.146
30 O 0.314 0.994 0.546
31 O 0.494 0.046 0.646
32 O 0.494 0.646 0.814
33 O 0.494 0.814 0.046
34 O 0.546 0.146 0.314
35 O 0.546 0.314 0.994
36 O 0.546 0.994 0.146
37 O 0.646 0.046 0.814
38 O 0.646 0.494 0.046
39 O 0.646 0.814 0.494
40 O 0.750 0.750 0.750
41 O 0.814 0.046 0.494
42 O 0.814 0.494 0.646
43 O 0.814 0.646 0.046
44 O 0.994 0.146 0.546
45 O 0.994 0.314 0.146
46 O 0.994 0.546 0.314
47 F 0.000 0.000 0.000
48 F 0.500 0.500 0.500